# 1
ScGePd: theoretical powder diffraction line list (Cu Kα (weighted mean of Kα1 and Kα2)), based on a PBE-relaxed structure.
Neutral-atom scattering factors, no anomalous dispersion.

Cell and atoms:
```
ScGePd
1.0
6.756 0.000 0.000
-3.378 5.851 0.000
0.000 0.000 3.969
Sc Ge Pd
3 3 3
direct
0.000 0.577 0.000
0.423 0.423 0.000
0.577 0.000 0.000
0.000 0.000 0.000
0.333 0.667 0.500
0.667 0.333 0.500
0.000 0.249 0.500
0.249 0.000 0.500
0.751 0.751 0.500
```

Largest 10 diffraction maxima, low angle first, 15 to 90 degrees two-theta:
2θ = 22.4°, rel. 37; 2θ = 26.4°, rel. 24; 2θ = 34.9°, rel. 89; 2θ = 38.2°, rel. 100; 2θ = 40.8°, rel. 62; 2θ = 45.7°, rel. 37; 2θ = 46.6°, rel. 30; 2θ = 47.0°, rel. 73; 2θ = 62.9°, rel. 33; 2θ = 74.6°, rel. 32

=====

# 2
PaS3: theoretical powder diffraction line list (Cu Kα (weighted mean of Kα1 and Kα2)), based on a PBE-relaxed structure.
Neutral-atom scattering factors, no anomalous dispersion.

Cell and atoms:
```
PaS3
1.0
5.766 0.000 0.000
-2.883 4.993 0.000
0.000 0.000 5.003
Pa S
2 6
direct
0.333 0.667 0.250
0.667 0.333 0.750
0.176 0.352 0.750
0.176 0.824 0.750
0.352 0.176 0.250
0.648 0.824 0.750
0.824 0.176 0.250
0.824 0.648 0.250
```

Largest 10 diffraction maxima, low angle first, 15 to 90 degrees two-theta:
2θ = 17.8°, rel. 45; 2θ = 25.2°, rel. 99; 2θ = 31.0°, rel. 43; 2θ = 35.9°, rel. 48; 2θ = 40.4°, rel. 100; 2θ = 48.2°, rel. 32; 2θ = 51.8°, rel. 50; 2θ = 67.6°, rel. 29; 2θ = 76.2°, rel. 20; 2θ = 79.1°, rel. 16

=====

# 3
Ta: theoretical powder diffraction line list (Cu Kα (weighted mean of Kα1 and Kα2)), based on a PBE-relaxed structure.
Neutral-atom scattering factors, no anomalous dispersion.

Cell and atoms:
```
Ta
1.0
-1.661 1.661 1.661
1.661 -1.661 1.661
1.661 1.661 -1.661
Ta
1
direct
0.000 0.000 0.000
```

Largest 4 diffraction maxima, low angle first, 15 to 90 degrees two-theta:
2θ = 38.3°, rel. 100; 2θ = 55.3°, rel. 17; 2θ = 69.3°, rel. 36; 2θ = 82.0°, rel. 11

=====

# 4
Ce3Sn13Ru4: theoretical powder diffraction line list (Cu Kα (weighted mean of Kα1 and Kα2)), based on a PBE-relaxed structure.
Neutral-atom scattering factors, no anomalous dispersion.

Cell and atoms:
```
Ce3Sn13Ru4
1.0
9.790 0.000 0.000
0.000 9.790 0.000
0.000 0.000 9.790
Ce Sn Ru
6 26 8
direct
0.000 0.250 0.500
0.000 0.750 0.500
0.250 0.500 0.000
0.500 0.000 0.250
0.500 0.000 0.750
0.750 0.500 0.000
0.000 0.000 0.000
0.000 0.303 0.154
0.000 0.303 0.846
0.000 0.697 0.154
0.000 0.697 0.846
0.154 0.000 0.303
0.154 0.000 0.697
0.197 0.500 0.346
0.197 0.500 0.654
0.303 0.154 0.000
0.303 0.846 0.000
0.346 0.197 0.500
0.346 0.803 0.500
0.500 0.346 0.197
0.500 0.346 0.803
0.500 0.500 0.500
0.500 0.654 0.197
0.500 0.654 0.803
0.654 0.197 0.500
0.654 0.803 0.500
0.697 0.154 0.000
0.697 0.846 0.000
0.803 0.500 0.346
0.803 0.500 0.654
0.846 0.000 0.303
0.846 0.000 0.697
0.250 0.250 0.250
0.250 0.250 0.750
0.250 0.750 0.250
0.250 0.750 0.750
0.750 0.250 0.250
0.750 0.250 0.750
0.750 0.750 0.250
0.750 0.750 0.750
```

Largest 10 diffraction maxima, low angle first, 15 to 90 degrees two-theta:
2θ = 33.0°, rel. 100; 2θ = 34.3°, rel. 37; 2θ = 36.7°, rel. 23; 2θ = 37.9°, rel. 14; 2θ = 45.4°, rel. 21; 2θ = 54.7°, rel. 14; 2θ = 58.1°, rel. 17; 2θ = 63.0°, rel. 13; 2θ = 66.9°, rel. 11; 2θ = 87.4°, rel. 10

=====

# 5
V5Si3: theoretical powder diffraction line list (Cu Kα (weighted mean of Kα1 and Kα2)), based on a PBE-relaxed structure.
Neutral-atom scattering factors, no anomalous dispersion.

Cell and atoms:
```
V5Si3
1.0
7.125 0.000 0.000
-3.562 6.170 0.000
0.000 0.000 4.843
V Si
10 6
direct
0.000 0.245 0.250
0.000 0.755 0.750
0.245 0.000 0.250
0.245 0.245 0.750
0.333 0.667 0.000
0.333 0.667 0.500
0.667 0.333 0.000
0.667 0.333 0.500
0.755 0.000 0.750
0.755 0.755 0.250
0.000 0.395 0.750
0.000 0.605 0.250
0.395 0.000 0.750
0.395 0.395 0.250
0.605 0.000 0.250
0.605 0.605 0.750
```

Largest 10 diffraction maxima, low angle first, 15 to 90 degrees two-theta:
2θ = 28.9°, rel. 13; 2θ = 37.1°, rel. 12; 2θ = 38.6°, rel. 41; 2θ = 40.0°, rel. 24; 2θ = 43.0°, rel. 100; 2θ = 44.0°, rel. 45; 2θ = 45.3°, rel. 76; 2θ = 65.0°, rel. 18; 2θ = 71.0°, rel. 20; 2θ = 72.7°, rel. 14